Diffraction record for CsNiTe2O8. The powder diffraction line list is calculated, not measured: it uses a DFT-relaxed cell (PBE+U, Alexandria) and CuKα.
Intensities are scaled so that the largest is 100.

Top 10 peaks for 2θ = 5–70°, by angle:
two_theta	I (rel.)
9.38	17.6
21.71	100.0
27.26	94.1
28.41	18.4
34.17	50.1
40.85	19.1
43.26	26.4
44.25	24.2
54.29	16.7
57.07	23.4

Atomic structure:
Lattice parameters (Å, degrees): 5.2475 5.2475 9.4239 90.00 90.00 120.00
Space group P-3 (No. 147)
Symmetry-distinct sites (fractional):
Cs  0.0000  0.0000  0.0000 x1
Ni  0.0000  0.0000  0.5000 x1
Te  0.3333  0.6667  0.6801 x2
O  0.0109  0.3103  0.6237 x6
O  0.3333  0.6667  0.8735 x2